Structure and calculated XRD peak list of Li3Mn2P5O16 (a PBE+U-relaxed structure; Cu Kα).
Lines closer than 0.1° are merged.

The 10 most intense peaks (2θ = 10–80°), by intensity:
2θ (°)  d [Å]  I/Imax
19.4  4.570  100.0
13.4  6.617  88.8
22.2  3.999  75.9
31.9  2.805  55.6
30.9  2.891  42.3
29.3  3.049  34.4
31.3  2.862  33.2
21.8  4.079  31.6
32.6  2.750  29.4
35.2  2.551  28.4

Structural model:
Cell lengths 5.1071, 7.0971, 18.3214 Å; angles 90.00, 93.24, 90.00 degrees
Fractional coordinates of all 52 atoms:
Li 0.0000 0.0181 0.2500
Li 0.0000 0.9819 0.7500
Li 0.2429 0.3294 0.9642
Li 0.2429 0.6706 0.4642
Li 0.7571 0.3294 0.5358
Li 0.7571 0.6706 0.0358
Mn 0.2328 0.1676 0.4126
Mn 0.2328 0.8324 0.9126
Mn 0.7672 0.1676 0.0874
Mn 0.7672 0.8324 0.5874
P 0.2399 0.4662 0.1243
P 0.2399 0.5338 0.6243
P 0.2689 0.1354 0.5897
P 0.2689 0.8646 0.0897
P 0.5000 0.2423 0.2500
P 0.5000 0.7577 0.7500
P 0.7311 0.1354 0.9103
P 0.7311 0.8646 0.4103
P 0.7601 0.4662 0.3757
P 0.7601 0.5338 0.8757
O 0.0523 0.4488 0.3926
O 0.0523 0.5512 0.8926
O 0.1039 0.2055 0.5222
O 0.1039 0.7945 0.0222
O 0.1252 0.0083 0.1347
O 0.1252 0.9917 0.6347
O 0.3091 0.3202 0.6440
O 0.3091 0.6798 0.1440
O 0.3098 0.3821 0.2042
O 0.3098 0.6179 0.7042
O 0.3221 0.1346 0.2976
O 0.3221 0.8654 0.7976
O 0.4138 0.3823 0.0683
O 0.4138 0.6177 0.5683
O 0.4496 0.0906 0.9287
O 0.4496 0.9094 0.4287
O 0.5504 0.0906 0.5713
O 0.5504 0.9094 0.0713
O 0.5862 0.3823 0.4317
O 0.5862 0.6177 0.9317
O 0.6779 0.1346 0.2024
O 0.6779 0.8654 0.7024
O 0.6902 0.3821 0.2958
O 0.6902 0.6179 0.7958
O 0.6909 0.3202 0.8560
O 0.6909 0.6798 0.3560
O 0.8748 0.0083 0.3653
O 0.8748 0.9917 0.8653
O 0.8961 0.2055 0.9778
O 0.8961 0.7945 0.4778
O 0.9477 0.4488 0.1074
O 0.9477 0.5512 0.6074